# 1
Theoretical X-ray diffraction stick pattern of LiYZnGe2 for Cu Ka, from DFT lattice parameters and positions (PBE).

Principal peaks in the range 15° ≤ 2θ ≤ 90°, in order of rising 2θ:
| Position (°2θ) | intensity |
| --- | --- |
| 23.19 | 36 |
| 30.95 | 48 |
| 32.60 | 100 |
| 34.99 | 93 |
| 44.34 | 65 |
| 45.24 | 20 |
| 46.45 | 65 |
| 56.10 | 41 |
| 64.51 | 21 |
| 66.16 | 44 |

Cell and atoms:
abc: 4.086 4.086 11.133
angles: 90.00 90.00 90.00
Space group I-4m2 (No. 119)
Inequivalent atoms, fractional coordinates:
1 Li 0.000 0.000 0.000 [2 per cell]
2 Y 0.000 0.500 0.750 [2 per cell]
3 Zn 0.000 0.000 0.500 [2 per cell]
4 Ge 0.000 0.500 0.138 [4 per cell]



# 2
Theoretical X-ray diffraction stick pattern of AcNd7In2 for Cu Ka, from DFT lattice parameters and positions (PBE).

Principal peaks in the range 15° ≤ 2θ ≤ 90°, in order of rising 2θ:
| Position (°2θ) | intensity |
| --- | --- |
| 15.44 | 43 |
| 19.03 | 79 |
| 24.61 | 35 |
| 27.44 | 83 |
| 29.68 | 98 |
| 31.17 | 83 |
| 33.29 | 98 |
| 33.82 | 100 |
| 43.58 | 69 |
| 59.85 | 28 |

Cell and atoms:
abc: 9.318 15.776 5.738
angles: 90.00 90.00 90.00
Space group Cmmm (No. 65)
Inequivalent atoms, fractional coordinates:
1 Ac 0.000 0.000 0.000 [2 per cell]
2 Nd 0.000 0.237 0.000 [4 per cell]
3 Nd 0.000 0.500 0.500 [2 per cell]
4 Nd 0.180 0.124 0.500 [8 per cell]
5 In 0.000 0.304 0.500 [4 per cell]



# 3
Theoretical X-ray diffraction stick pattern of Dy2ScRh for Cu Ka, from DFT lattice parameters and positions (PBE).

Principal peaks in the range 15° ≤ 2θ ≤ 90°, in order of rising 2θ:
| Position (°2θ) | intensity |
| --- | --- |
| 25.48 | 17 |
| 33.96 | 100 |
| 36.35 | 54 |
| 38.08 | 11 |
| 42.44 | 31 |
| 52.35 | 19 |
| 59.15 | 11 |
| 63.55 | 10 |
| 63.88 | 31 |
| 69.62 | 25 |

Cell and atoms:
abc: 3.495 3.495 8.058
angles: 90.00 90.00 90.00
Space group P4/mmm (No. 123)
Inequivalent atoms, fractional coordinates:
1 Dy 0.000 0.000 0.202 [2 per cell]
2 Sc 0.500 0.500 0.500 [1 per cell]
3 Rh 0.500 0.500 0.000 [1 per cell]



# 4
Theoretical X-ray diffraction stick pattern of CsRbBaF4 for Cu Ka, from DFT lattice parameters and positions (PBE).

Principal peaks in the range 15° ≤ 2θ ≤ 90°, in order of rising 2θ:
| Position (°2θ) | intensity |
| --- | --- |
| 24.66 | 73 |
| 25.00 | 100 |
| 34.83 | 17 |
| 35.15 | 44 |
| 36.13 | 15 |
| 43.62 | 45 |
| 44.23 | 21 |
| 50.56 | 15 |
| 51.30 | 21 |
| 57.04 | 14 |

Cell and atoms:
abc: 5.106 5.106 14.916
angles: 90.00 90.00 90.00
Space group I4mm (No. 107)
Inequivalent atoms, fractional coordinates:
1 Cs 0.000 0.000 0.000 [2 per cell]
2 Rb 0.000 0.000 0.706 [2 per cell]
3 Ba 0.000 0.000 0.353 [2 per cell]
4 F 0.000 0.000 0.181 [2 per cell]
5 F 0.000 0.000 0.527 [2 per cell]
6 F 0.000 0.500 0.346 [4 per cell]



# 5
Theoretical X-ray diffraction stick pattern of HgPPb2 for Cu Ka, from DFT lattice parameters and positions (PBE).

Principal peaks in the range 15° ≤ 2θ ≤ 90°, in order of rising 2θ:
| Position (°2θ) | intensity |
| --- | --- |
| 23.75 | 54 |
| 28.44 | 100 |
| 34.10 | 23 |
| 34.59 | 93 |
| 36.80 | 50 |
| 46.46 | 26 |
| 55.96 | 32 |
| 57.56 | 35 |
| 60.67 | 24 |
| 68.33 | 17 |

Cell and atoms:
abc: 3.857 3.911 15.777
angles: 90.00 90.00 90.00
Space group Imm2 (No. 44)
Inequivalent atoms, fractional coordinates:
1 Hg 0.000 0.000 0.000 [2 per cell]
2 P 0.000 0.500 0.741 [2 per cell]
3 Pb 0.000 0.000 0.369 [2 per cell]
4 Pb 0.000 0.500 0.172 [2 per cell]



# 6
Theoretical X-ray diffraction stick pattern of Zr2Ti2S3 for Cu Ka, from DFT lattice parameters and positions (PBE).

Principal peaks in the range 15° ≤ 2θ ≤ 90°, in order of rising 2θ:
| Position (°2θ) | intensity |
| --- | --- |
| 24.18 | 23 |
| 30.31 | 26 |
| 35.54 | 100 |
| 37.97 | 23 |
| 40.67 | 15 |
| 42.65 | 31 |
| 47.18 | 13 |
| 48.90 | 16 |
| 53.30 | 15 |
| 53.44 | 13 |

Cell and atoms:
abc: 12.061 3.438 6.118
angles: 90.00 105.41 90.00
Space group C2/m (No. 12)
Inequivalent atoms, fractional coordinates:
1 Zr 0.088 0.000 0.265 [4 per cell]
2 Ti 0.149 0.500 0.875 [4 per cell]
3 S 0.000 0.500 0.500 [2 per cell]
4 S 0.249 0.000 0.723 [4 per cell]



# 7
Theoretical X-ray diffraction stick pattern of Pm2PrNd5Y for Cu Ka, from DFT lattice parameters and positions (PBE).

Principal peaks in the range 15° ≤ 2θ ≤ 90°, in order of rising 2θ:
| Position (°2θ) | intensity |
| --- | --- |
| 27.95 | 55 |
| 28.08 | 51 |
| 30.16 | 100 |
| 31.47 | 20 |
| 36.22 | 14 |
| 36.49 | 21 |
| 41.82 | 22 |
| 46.07 | 13 |
| 51.01 | 22 |
| 54.83 | 13 |

Cell and atoms:
abc: 8.989 8.989 15.760
angles: 90.00 90.00 90.00
Space group I4/mcm (No. 140)
Inequivalent atoms, fractional coordinates:
1 Pm 0.116 0.384 0.000 [8 per cell]
2 Pr 0.000 0.000 0.250 [4 per cell]
3 Nd 0.000 0.000 0.000 [4 per cell]
4 Nd 0.210 0.290 0.362 [16 per cell]
5 Y 0.000 0.500 0.250 [4 per cell]



# 8
Theoretical X-ray diffraction stick pattern of Ac4Tb4Sm3 for Cu Ka, from DFT lattice parameters and positions (PBE).

Principal peaks in the range 15° ≤ 2θ ≤ 90°, in order of rising 2θ:
| Position (°2θ) | intensity |
| --- | --- |
| 29.45 | 99 |
| 30.22 | 100 |
| 30.62 | 54 |
| 30.85 | 51 |
| 44.03 | 41 |
| 54.00 | 19 |
| 54.47 | 21 |
| 54.66 | 22 |
| 58.75 | 31 |
| 59.12 | 17 |

Cell and atoms:
abc: 37.831 5.796 3.711
angles: 90.00 90.01 90.00
Space group Cm (No. 8)
Inequivalent atoms, fractional coordinates:
1 Ac 0.000 0.000 0.000 [2 per cell]
2 Ac 0.057 0.500 0.498 [2 per cell]
3 Ac 0.186 0.000 0.499 [2 per cell]
4 Ac 0.369 0.000 0.999 [2 per cell]
5 Tb 0.099 0.000 0.998 [2 per cell]
6 Tb 0.241 0.500 0.998 [2 per cell]
7 Tb 0.322 0.500 0.499 [2 per cell]
8 Tb 0.458 0.000 0.500 [2 per cell]
9 Sm 0.145 0.500 0.998 [2 per cell]
10 Sm 0.280 0.000 0.498 [2 per cell]
11 Sm 0.413 0.500 0.500 [2 per cell]



# 9
Theoretical X-ray diffraction stick pattern of NaSe3O9 for Cu Ka, from DFT lattice parameters and positions (PBE).

Principal peaks in the range 15° ≤ 2θ ≤ 90°, in order of rising 2θ:
| Position (°2θ) | intensity |
| --- | --- |
| 15.74 | 48 |
| 21.13 | 83 |
| 23.48 | 100 |
| 25.68 | 24 |
| 27.82 | 20 |
| 28.96 | 20 |
| 31.79 | 56 |
| 34.42 | 14 |
| 42.22 | 12 |
| 49.57 | 18 |

Cell and atoms:
abc: 10.425 11.034 8.410
angles: 90.00 90.00 90.00
Space group C222_1 (No. 20)
Inequivalent atoms, fractional coordinates:
1 Na 0.196 0.000 0.000 [4 per cell]
2 Se 0.008 0.298 0.461 [8 per cell]
3 Se 0.227 0.500 0.000 [4 per cell]
4 O 0.000 0.352 0.250 [4 per cell]
5 O 0.034 0.156 0.022 [8 per cell]
6 O 0.122 0.389 0.918 [8 per cell]
7 O 0.146 0.336 0.539 [8 per cell]
8 O 0.199 0.047 0.659 [8 per cell]



# 10
Theoretical X-ray diffraction stick pattern of Ce7BiSb3 for Cu Ka, from DFT lattice parameters and positions (PBE).

Principal peaks in the range 15° ≤ 2θ ≤ 90°, in order of rising 2θ:
| Position (°2θ) | intensity |
| --- | --- |
| 19.36 | 22 |
| 29.28 | 74 |
| 29.38 | 71 |
| 35.39 | 20 |
| 36.04 | 100 |
| 41.96 | 54 |
| 56.42 | 27 |
| 56.54 | 25 |
| 68.73 | 17 |
| 69.05 | 14 |

Cell and atoms:
abc: 6.101 9.168 12.159
angles: 90.00 90.00 90.00
Space group Immm (No. 71)
Inequivalent atoms, fractional coordinates:
1 Ce 0.000 0.000 0.000 [2 per cell]
2 Ce 0.000 0.144 0.500 [4 per cell]
3 Ce 0.000 0.357 0.242 [8 per cell]
4 Bi 0.000 0.500 0.500 [2 per cell]
5 Sb 0.000 0.000 0.261 [4 per cell]
6 Sb 0.000 0.500 0.000 [2 per cell]



# 11
Theoretical X-ray diffraction stick pattern of Pm7PS5 for Cu Ka, from DFT lattice parameters and positions (PBE).

Principal peaks in the range 15° ≤ 2θ ≤ 90°, in order of rising 2θ:
| Position (°2θ) | intensity |
| --- | --- |
| 25.90 | 35 |
| 27.19 | 38 |
| 27.74 | 59 |
| 29.36 | 100 |
| 31.16 | 93 |
| 32.29 | 60 |
| 32.81 | 36 |
| 45.25 | 52 |
| 45.59 | 34 |
| 55.16 | 34 |

Cell and atoms:
abc: 3.980 23.971 6.912
angles: 90.00 106.66 90.00
Space group P2_1 (No. 4)
Inequivalent atoms, fractional coordinates:
1 Pm 0.038 0.000 0.076 [2 per cell]
2 Pm 0.125 0.715 0.249 [2 per cell]
3 Pm 0.151 0.291 0.302 [2 per cell]
4 Pm 0.297 0.932 0.594 [2 per cell]
5 Pm 0.316 0.073 0.633 [2 per cell]
6 Pm 0.397 0.635 0.795 [2 per cell]
7 Pm 0.428 0.359 0.857 [2 per cell]
8 P 0.307 0.516 0.614 [2 per cell]
9 S 0.041 0.608 0.081 [2 per cell]
10 S 0.064 0.397 0.127 [2 per cell]
11 S 0.211 0.824 0.422 [2 per cell]
12 S 0.236 0.180 0.471 [2 per cell]
13 S 0.484 0.750 0.969 [2 per cell]



# 12
Theoretical X-ray diffraction stick pattern of IrCN2F for Cu Ka, from DFT lattice parameters and positions (PBE).

Principal peaks in the range 15° ≤ 2θ ≤ 90°, in order of rising 2θ:
| Position (°2θ) | intensity |
| --- | --- |
| 24.41 | 100 |
| 28.22 | 41 |
| 34.79 | 62 |
| 37.65 | 88 |
| 45.38 | 80 |
| 50.02 | 35 |
| 58.40 | 35 |
| 64.24 | 54 |
| 80.40 | 26 |
| 85.56 | 24 |

Cell and atoms:
abc: 3.647 3.647 3.162
angles: 90.00 90.00 90.00
Space group P4/mmm (No. 123)
Inequivalent atoms, fractional coordinates:
1 Ir 0.000 0.000 0.000 [1 per cell]
2 C 0.500 0.500 0.500 [1 per cell]
3 N 0.000 0.500 0.500 [2 per cell]
4 F 0.500 0.500 0.000 [1 per cell]



What did the eleventh record say?
Theoretical X-ray diffraction stick pattern of Pm7PS5 for Cu Ka, from DFT lattice parameters and positions (PBE).

Principal peaks in the range 15° ≤ 2θ ≤ 90°, in order of rising 2θ:
| Position (°2θ) | intensity |
| --- | --- |
| 25.90 | 35 |
| 27.19 | 38 |
| 27.74 | 59 |
| 29.36 | 100 |
| 31.16 | 93 |
| 32.29 | 60 |
| 32.81 | 36 |
| 45.25 | 52 |
| 45.59 | 34 |
| 55.16 | 34 |

Cell and atoms:
abc: 3.980 23.971 6.912
angles: 90.00 106.66 90.00
Space group P2_1 (No. 4)
Inequivalent atoms, fractional coordinates:
1 Pm 0.038 0.000 0.076 [2 per cell]
2 Pm 0.125 0.715 0.249 [2 per cell]
3 Pm 0.151 0.291 0.302 [2 per cell]
4 Pm 0.297 0.932 0.594 [2 per cell]
5 Pm 0.316 0.073 0.633 [2 per cell]
6 Pm 0.397 0.635 0.795 [2 per cell]
7 Pm 0.428 0.359 0.857 [2 per cell]
8 P 0.307 0.516 0.614 [2 per cell]
9 S 0.041 0.608 0.081 [2 per cell]
10 S 0.064 0.397 0.127 [2 per cell]
11 S 0.211 0.824 0.422 [2 per cell]
12 S 0.236 0.180 0.471 [2 per cell]
13 S 0.484 0.750 0.969 [2 per cell]



> Number 11 is which compound?

Pm7PS5